# Ce2Dy6Tm
Computed powder diffraction line list, λ = 1.5418 Å (Cu Kα). Input: a DFT-relaxed cell (GGA-PBE, Alexandria).

Structural model:
```
data_Ce2Dy6Tm
_cell_length_a 4.9884
_cell_length_b 14.9221
_cell_length_c 14.9824
_cell_angle_alpha 90.00
_cell_angle_beta 90.00
_cell_angle_gamma 90.00
_symmetry_space_group_name_H-M 'F m m m'
_symmetry_Int_Tables_number 69
_symmetry_space_group_name_Hall '-F 2 2'
loop_
_atom_site_label
_atom_site_fract_x
_atom_site_fract_y
_atom_site_fract_z
Ce1 0.0000 0.1693 0.0000
Dy1 0.0000 0.0000 0.1649
Dy2 0.0000 0.1664 0.3353
Tm1 0.0000 0.0000 0.5000
```

Most intense lines, 10° ≤ 2θ ≤ 90°, in order of rising 2θ:
hkl 1 3 3, 2θ = 31.07°, intensity 100.0
hkl 2 0 0, 2θ = 35.99°, intensity 33.8
hkl 0 6 0, 2θ = 36.12°, intensity 16.7
hkl 2 0 6, 2θ = 51.85°, intensity 23.9
hkl 2 6 0, 2θ = 51.92°, intensity 11.9
hkl 3 3 3, 2θ = 61.65°, intensity 28.3
hkl 1 9 3, 2θ = 61.82°, intensity 14.0
hkl 2 6 6, 2θ = 64.78°, intensity 12.2

# CeDy7Tm3
Computed powder diffraction line list, λ = 1.5418 Å (Cu Kα). Input: a DFT-relaxed cell (GGA-PBE, Alexandria).

Structural model:
```
data_CeDy7Tm3
_cell_length_a 6.8536
_cell_length_b 18.3350
_cell_length_c 6.5121
_cell_angle_alpha 90.00
_cell_angle_beta 121.69
_cell_angle_gamma 90.00
_symmetry_space_group_name_H-M 'C 1 2/m 1'
_symmetry_Int_Tables_number 12
_symmetry_space_group_name_Hall '-C 2y'
loop_
_atom_site_label
_atom_site_fract_x
_atom_site_fract_y
_atom_site_fract_z
Ce1 0.0000 0.0000 0.0000
Dy1 0.0000 0.0882 0.5000
Dy2 0.0000 0.5000 0.5000
Dy3 0.2203 0.3387 0.9384
Tm1 0.0000 0.5000 0.0000
Tm2 0.2500 0.2500 0.5000
```

Most intense lines, 10° ≤ 2θ ≤ 90°, in order of rising 2θ:
hkl 1 5 0, 2θ = 28.76°, intensity 16.3
hkl 1 3 -2, 2θ = 31.16°, intensity 15.3
hkl 0 0 2, 2θ = 32.25°, intensity 100.0
hkl 2 4 -1, 2θ = 32.63°, intensity 26.5
hkl 0 6 1, 2θ = 33.49°, intensity 41.3
hkl 2 4 1, 2θ = 46.58°, intensity 15.9
hkl 2 10 0, 2θ = 59.57°, intensity 18.5
hkl 4 6 -1, 2θ = 64.59°, intensity 12.5